The following is a simulated X-ray diffraction stick pattern of Na2SiBr6. It was derived from a structure optimized by DFT (PBE), using Cu Kα (weighted mean of Kα1 and Kα2).

The 8 most intense peaks (10 to 90 degrees two-theta), sorted by position:
- 2θ 15.06, d = 5.881 Å, rel. 22
- 2θ 18.78, d = 4.724 Å, rel. 18
- 2θ 26.69, d = 3.340 Å, rel. 32
- 2θ 28.70, d = 3.110 Å, rel. 100
- 2θ 29.91, d = 2.988 Å, rel. 35
- 2θ 38.10, d = 2.362 Å, rel. 20
- 2θ 41.14, d = 2.194 Å, rel. 20
- 2θ 46.31, d = 1.960 Å, rel. 25

Structure:
Cell: 6.681 6.681 12.398 Å, 90.00 90.00 90.00°
Space group P4_2/mnm (No. 136)
Symmetry-distinct sites (fractional):
Na: 0.000 0.000 0.164 x4
Si: 0.000 0.000 0.500 x2
Br: 0.179 0.179 0.359 x8
Br: 0.240 0.240 0.000 x4

The following is a simulated X-ray diffraction stick pattern of NaSm2Br6. It was derived from a structure optimized by DFT (PBE), using Cu Kα (weighted mean of Kα1 and Kα2).

The 8 most intense peaks (10 to 90 degrees two-theta), sorted by position:
- 2θ 14.40, d = 6.150 Å, rel. 45
- 2θ 17.75, d = 4.997 Å, rel. 88
- 2θ 27.90, d = 3.198 Å, rel. 100
- 2θ 35.67, d = 2.517 Å, rel. 87
- 2θ 35.94, d = 2.499 Å, rel. 59
- 2θ 44.18, d = 2.050 Å, rel. 57
- 2θ 46.10, d = 1.969 Å, rel. 27
- 2θ 76.04, d = 1.252 Å, rel. 27

Structure:
Cell: 7.067 7.067 12.484 Å, 90.00 90.00 90.00°
Space group P4_2/mnm (No. 136)
Symmetry-distinct sites (fractional):
Na: 0.000 0.000 0.000 x2
Sm: 0.000 0.000 0.346 x4
Br: 0.208 0.208 0.174 x8
Br: 0.213 0.213 0.500 x4

The following is a simulated X-ray diffraction stick pattern of NaSmBr6. It was derived from a structure optimized by DFT (PBE), using Cu Kα (weighted mean of Kα1 and Kα2).

The 8 most intense peaks (10 to 90 degrees two-theta), sorted by position:
- 2θ 13.24, d = 6.689 Å, rel. 30
- 2θ 15.29, d = 5.793 Å, rel. 100
- 2θ 26.65, d = 3.345 Å, rel. 32
- 2θ 30.87, d = 2.897 Å, rel. 70
- 2θ 34.62, d = 2.591 Å, rel. 53
- 2θ 44.22, d = 2.048 Å, rel. 51
- 2θ 47.06, d = 1.931 Å, rel. 27
- 2θ 73.04, d = 1.295 Å, rel. 22

Structure:
Cell: 11.586 11.586 11.586 Å, 90.00 90.00 90.00°
Space group Fm-3m (No. 225)
Symmetry-distinct sites (fractional):
Na: 0.000 0.000 0.000 x4
Sm: 0.000 0.000 0.500 x4
Br: 0.000 0.000 0.255 x24

Repeat the third record exactly.
The following is a simulated X-ray diffraction stick pattern of NaSmBr6. It was derived from a structure optimized by DFT (PBE), using Cu Kα (weighted mean of Kα1 and Kα2).

The 8 most intense peaks (10 to 90 degrees two-theta), sorted by position:
- 2θ 13.24, d = 6.689 Å, rel. 30
- 2θ 15.29, d = 5.793 Å, rel. 100
- 2θ 26.65, d = 3.345 Å, rel. 32
- 2θ 30.87, d = 2.897 Å, rel. 70
- 2θ 34.62, d = 2.591 Å, rel. 53
- 2θ 44.22, d = 2.048 Å, rel. 51
- 2θ 47.06, d = 1.931 Å, rel. 27
- 2θ 73.04, d = 1.295 Å, rel. 22

Structure:
Cell: 11.586 11.586 11.586 Å, 90.00 90.00 90.00°
Space group Fm-3m (No. 225)
Symmetry-distinct sites (fractional):
Na: 0.000 0.000 0.000 x4
Sm: 0.000 0.000 0.500 x4
Br: 0.000 0.000 0.255 x24